Starting from the GGA-PBE geometry in Alexandria, the X-ray powder pattern of KMg14V was simulated for Cu Kα (λ = 1.5418 Å).
Intensities are scaled so that the largest is 100.

Top 12 peaks for 2θ from 10° to 80°, by intensity:
- 36.3 deg, intensity 100
- 34.1 deg, intensity 25
- 31.9 deg, intensity 25
- 67.9 deg, intensity 18
- 56.8 deg, intensity 17
- 62.4 deg, intensity 16
- 47.3 deg, intensity 15
- 69.2 deg, intensity 13
- 15.8 deg, intensity 5
- 23.2 deg, intensity 4
- 77.0 deg, intensity 3
- 66.6 deg, intensity 3

Structure:
Unit cell a=6.487 b=6.487 c=10.524 alpha=90.00 beta=90.00 gamma=120.00
Fractional positions:
K: 0.000 0.000 0.000
Mg: 0.010 0.505 0.000
Mg: 0.167 0.334 0.268
Mg: 0.167 0.334 0.732
Mg: 0.167 0.833 0.268
Mg: 0.167 0.833 0.732
Mg: 0.495 0.505 0.000
Mg: 0.495 0.990 0.000
Mg: 0.503 0.006 0.500
Mg: 0.503 0.497 0.500
Mg: 0.666 0.833 0.268
Mg: 0.666 0.833 0.732
Mg: 0.667 0.333 0.241
Mg: 0.667 0.333 0.759
Mg: 0.994 0.497 0.500
V: 0.000 0.000 0.500


Starting from the GGA-PBE geometry in Alexandria, the X-ray powder pattern of MgMo4Rh was simulated for Cu Kα (λ = 1.5418 Å).
Intensities are scaled so that the largest is 100.

Top 12 peaks for 2θ from 10° to 80°, by intensity:
- 40.5 deg, intensity 100
- 42.4 deg, intensity 54
- 65.7 deg, intensity 31
- 20.8 deg, intensity 29
- 72.4 deg, intensity 27
- 34.3 deg, intensity 16
- 49.4 deg, intensity 11
- 24.1 deg, intensity 9
- 54.1 deg, intensity 7
- 61.5 deg, intensity 6
- 76.3 deg, intensity 5
- 55.7 deg, intensity 2

Structure:
Unit cell a=5.222 b=5.222 c=5.222 alpha=60.00 beta=60.00 gamma=60.00
Fractional positions:
Mg: 0.000 0.000 0.000
Mo: 0.121 0.626 0.626
Mo: 0.626 0.121 0.626
Mo: 0.626 0.626 0.121
Mo: 0.626 0.626 0.626
Rh: 0.250 0.250 0.250


Starting from the GGA-PBE geometry in Alexandria, the X-ray powder pattern of Pr2PaSbO8 was simulated for Cu Kα (λ = 1.5418 Å).
Intensities are scaled so that the largest is 100.

Top 12 peaks for 2θ from 10° to 80°, by intensity:
- 29.1 deg, intensity 100
- 25.3 deg, intensity 74
- 28.5 deg, intensity 53
- 32.4 deg, intensity 50
- 44.7 deg, intensity 45
- 56.2 deg, intensity 32
- 48.6 deg, intensity 32
- 32.6 deg, intensity 24
- 43.5 deg, intensity 21
- 51.4 deg, intensity 21
- 55.0 deg, intensity 17
- 49.3 deg, intensity 16

Structure:
Unit cell a=4.187 b=7.394 c=5.525 alpha=90.00 beta=96.88 gamma=90.00
Fractional positions:
Pr: 0.000 0.241 0.000
Pr: 0.000 0.759 0.000
Pa: 0.500 0.500 0.500
Sb: 0.500 0.000 0.500
O: 0.066 0.500 0.267
O: 0.096 0.000 0.282
O: 0.435 0.235 0.722
O: 0.435 0.765 0.722
O: 0.565 0.235 0.278
O: 0.565 0.765 0.278
O: 0.904 0.000 0.718
O: 0.934 0.500 0.733


Starting from the GGA-PBE geometry in Alexandria, the X-ray powder pattern of NpP3O9 was simulated for Cu Kα (λ = 1.5418 Å).
Intensities are scaled so that the largest is 100.

Top 12 peaks for 2θ from 10° to 80°, by intensity:
- 20.9 deg, intensity 100
- 15.3 deg, intensity 59
- 22.3 deg, intensity 36
- 17.1 deg, intensity 34
- 28.8 deg, intensity 25
- 33.5 deg, intensity 23
- 29.9 deg, intensity 23
- 24.2 deg, intensity 22
- 33.7 deg, intensity 17
- 15.2 deg, intensity 16
- 44.8 deg, intensity 15
- 45.6 deg, intensity 14

Structure:
Unit cell a=8.172 b=8.172 c=10.461 alpha=123.81 beta=123.81 gamma=50.36
Fractional positions:
Np: 0.235 0.765 0.500
Np: 0.765 0.235 0.000
P: 0.164 0.347 0.769
P: 0.347 0.164 0.269
P: 0.561 0.749 0.337
P: 0.737 0.947 0.155
P: 0.749 0.561 0.837
P: 0.947 0.737 0.655
O: 0.085 0.797 0.654
O: 0.109 0.500 0.686
O: 0.116 0.157 0.638
O: 0.157 0.116 0.138
O: 0.293 0.396 0.387
O: 0.387 0.769 0.365
O: 0.396 0.293 0.887
O: 0.500 0.109 0.186
O: 0.510 0.995 0.375
O: 0.599 0.604 0.676
O: 0.604 0.599 0.176
O: 0.664 0.795 0.973
O: 0.769 0.387 0.865
O: 0.795 0.664 0.473
O: 0.797 0.085 0.154
O: 0.811 0.906 0.770
O: 0.906 0.811 0.270
O: 0.995 0.510 0.875


Starting from the GGA-PBE geometry in Alexandria, the X-ray powder pattern of SmHo2Er2 was simulated for Cu Kα (λ = 1.5418 Å).
Intensities are scaled so that the largest is 100.

Top 12 peaks for 2θ from 10° to 80°, by intensity:
- 34.4 deg, intensity 100
- 31.7 deg, intensity 79
- 31.5 deg, intensity 48
- 27.8 deg, intensity 37
- 62.2 deg, intensity 26
- 42.5 deg, intensity 24
- 62.5 deg, intensity 23
- 58.0 deg, intensity 22
- 52.1 deg, intensity 22
- 56.3 deg, intensity 16
- 62.4 deg, intensity 14
- 52.4 deg, intensity 12

Structure:
Unit cell a=3.494 b=8.601 c=8.601 alpha=38.52 beta=90.00 gamma=90.00
Fractional positions:
Sm: 0.000 0.000 0.000
Ho: 0.000 0.381 0.381
Ho: 0.500 0.573 0.573
Er: 0.000 0.762 0.762
Er: 0.500 0.192 0.192


Starting from the GGA-PBE geometry in Alexandria, the X-ray powder pattern of Dy2Y2HoSc was simulated for Cu Kα (λ = 1.5418 Å).
Intensities are scaled so that the largest is 100.

Top 12 peaks for 2θ from 10° to 80°, by intensity:
- 31.0 deg, intensity 100
- 34.6 deg, intensity 58
- 29.4 deg, intensity 55
- 30.9 deg, intensity 50
- 39.2 deg, intensity 47
- 34.0 deg, intensity 39
- 17.1 deg, intensity 35
- 42.0 deg, intensity 34
- 66.2 deg, intensity 33
- 14.6 deg, intensity 25
- 32.0 deg, intensity 23
- 54.2 deg, intensity 21

Structure:
Unit cell a=6.481 b=17.341 c=3.322 alpha=90.00 beta=90.00 gamma=90.00
Fractional positions:
Dy: 0.245 0.145 0.000
Dy: 0.255 0.645 0.500
Dy: 0.745 0.355 0.500
Dy: 0.755 0.855 0.000
Y: 0.246 0.319 0.500
Y: 0.254 0.819 0.000
Y: 0.746 0.181 0.000
Y: 0.754 0.681 0.500
Ho: 0.000 0.000 0.500
Ho: 0.500 0.500 0.000
Sc: 0.000 0.500 0.500
Sc: 0.500 0.000 0.000


Starting from the GGA-PBE geometry in Alexandria, the X-ray powder pattern of Nd4Ag3Hg was simulated for Cu Kα (λ = 1.5418 Å).
Intensities are scaled so that the largest is 100.

Top 12 peaks for 2θ from 10° to 80°, by intensity:
- 30.4 deg, intensity 100
- 37.6 deg, intensity 64
- 35.9 deg, intensity 38
- 36.4 deg, intensity 38
- 32.8 deg, intensity 28
- 30.8 deg, intensity 24
- 73.0 deg, intensity 18
- 47.1 deg, intensity 18
- 49.8 deg, intensity 18
- 61.0 deg, intensity 17
- 60.6 deg, intensity 16
- 60.8 deg, intensity 16

Structure:
Unit cell a=3.858 b=4.931 c=11.611 alpha=90.00 beta=90.00 gamma=90.00
Fractional positions:
Nd: 0.000 0.000 0.000
Nd: 0.000 0.500 0.282
Nd: 0.500 0.000 0.490
Nd: 0.500 0.500 0.788
Ag: 0.000 0.500 0.560
Ag: 0.500 0.000 0.216
Ag: 0.500 0.500 0.066
Hg: 0.000 0.000 0.720


Starting from the GGA-PBE geometry in Alexandria, the X-ray powder pattern of NaGa2S4 was simulated for Cu Kα (λ = 1.5418 Å).
Intensities are scaled so that the largest is 100.

Top 12 peaks for 2θ from 10° to 80°, by intensity:
- 28.0 deg, intensity 100
- 12.5 deg, intensity 97
- 44.1 deg, intensity 47
- 35.7 deg, intensity 23
- 25.0 deg, intensity 21
- 59.4 deg, intensity 21
- 46.1 deg, intensity 19
- 51.2 deg, intensity 17
- 53.1 deg, intensity 17
- 71.4 deg, intensity 10
- 52.9 deg, intensity 9
- 64.0 deg, intensity 8

Structure:
Unit cell a=5.046 b=5.046 c=7.078 alpha=90.00 beta=90.00 gamma=90.00
Fractional positions:
Na: 0.000 0.000 0.000
Ga: 0.000 0.500 0.500
Ga: 0.500 0.000 0.500
S: 0.260 0.260 0.297
S: 0.260 0.740 0.703
S: 0.740 0.260 0.703
S: 0.740 0.740 0.297


Starting from the GGA-PBE geometry in Alexandria, the X-ray powder pattern of CsH6RhPb was simulated for Cu Kα (λ = 1.5418 Å).
Intensities are scaled so that the largest is 100.

Top 12 peaks for 2θ from 10° to 80°, by intensity:
- 24.8 deg, intensity 100
- 34.8 deg, intensity 44
- 46.3 deg, intensity 29
- 43.2 deg, intensity 23
- 56.7 deg, intensity 21
- 49.6 deg, intensity 18
- 14.6 deg, intensity 17
- 29.5 deg, intensity 16
- 35.8 deg, intensity 15
- 73.1 deg, intensity 11
- 38.0 deg, intensity 10
- 62.0 deg, intensity 9

Structure:
Unit cell a=5.151 b=5.151 c=6.058 alpha=90.02 beta=90.02 gamma=60.01
Fractional positions:
Cs: 0.000 0.000 0.000
H: 0.031 0.484 0.751
H: 0.180 0.180 0.428
H: 0.180 0.638 0.426
H: 0.484 0.031 0.751
H: 0.485 0.485 0.751
H: 0.638 0.180 0.426
Rh: 0.333 0.333 0.580
Pb: 0.666 0.666 0.466


Starting from the GGA-PBE geometry in Alexandria, the X-ray powder pattern of BW4N9 was simulated for Cu Kα (λ = 1.5418 Å).
Intensities are scaled so that the largest is 100.

Top 12 peaks for 2θ from 10° to 80°, by intensity:
- 27.8 deg, intensity 100
- 36.3 deg, intensity 45
- 52.9 deg, intensity 41
- 37.0 deg, intensity 31
- 30.3 deg, intensity 29
- 46.3 deg, intensity 20
- 57.4 deg, intensity 16
- 60.2 deg, intensity 14
- 11.9 deg, intensity 12
- 61.2 deg, intensity 11
- 65.3 deg, intensity 9
- 31.9 deg, intensity 9

Structure:
Unit cell a=8.569 b=8.569 c=4.853 alpha=90.00 beta=90.00 gamma=120.00
Fractional positions:
B: 0.000 0.000 0.000
B: 0.000 0.000 0.500
W: 0.035 0.682 0.190
W: 0.318 0.354 0.190
W: 0.333 0.667 0.686
W: 0.354 0.035 0.690
W: 0.646 0.965 0.190
W: 0.667 0.333 0.186
W: 0.682 0.646 0.690
W: 0.965 0.318 0.690
N: 0.095 0.895 0.000
N: 0.105 0.199 0.000
N: 0.108 0.561 0.953
N: 0.199 0.095 0.500
N: 0.218 0.438 0.498
N: 0.220 0.782 0.498
N: 0.438 0.220 0.998
N: 0.439 0.547 0.953
N: 0.453 0.892 0.953
N: 0.547 0.108 0.453
N: 0.561 0.453 0.453
N: 0.562 0.780 0.498
N: 0.780 0.218 0.998
N: 0.782 0.562 0.998
N: 0.801 0.905 0.000
N: 0.892 0.439 0.453
N: 0.895 0.801 0.500
N: 0.905 0.105 0.500


Starting from the GGA-PBE geometry in Alexandria, the X-ray powder pattern of AcPtC was simulated for Cu Kα (λ = 1.5418 Å).
Intensities are scaled so that the largest is 100.

Top 12 peaks for 2θ from 10° to 80°, by intensity:
- 30.7 deg, intensity 100
- 27.3 deg, intensity 98
- 32.0 deg, intensity 67
- 35.0 deg, intensity 56
- 52.5 deg, intensity 34
- 54.0 deg, intensity 32
- 41.8 deg, intensity 32
- 42.3 deg, intensity 30
- 46.8 deg, intensity 29
- 43.9 deg, intensity 28
- 61.0 deg, intensity 21
- 66.1 deg, intensity 21

Structure:
Unit cell a=4.124 b=4.274 c=7.912 alpha=74.33 beta=89.96 gamma=89.93
Fractional positions:
Ac: 0.250 0.151 0.198
Ac: 0.750 0.849 0.802
Pt: 0.250 0.447 0.606
Pt: 0.750 0.553 0.394
C: 0.249 0.322 0.856
C: 0.751 0.678 0.144


Starting from the GGA-PBE geometry in Alexandria, the X-ray powder pattern of Li5Al2Cd was simulated for Cu Kα (λ = 1.5418 Å).
Intensities are scaled so that the largest is 100.

Top 12 peaks for 2θ from 10° to 80°, by intensity:
- 22.7 deg, intensity 100
- 38.2 deg, intensity 81
- 27.3 deg, intensity 65
- 21.2 deg, intensity 59
- 31.4 deg, intensity 44
- 10.6 deg, intensity 41
- 34.8 deg, intensity 33
- 54.3 deg, intensity 26
- 44.9 deg, intensity 25
- 50.2 deg, intensity 22
- 50.9 deg, intensity 22
- 53.4 deg, intensity 19

Structure:
Unit cell a=8.854 b=8.854 c=8.854 alpha=153.66 beta=153.66 gamma=37.59
Fractional positions:
Li: 0.000 0.000 0.000
Li: 0.131 0.631 0.500
Li: 0.369 0.869 0.500
Li: 0.631 0.131 0.500
Li: 0.869 0.369 0.500
Al: 0.249 0.249 0.000
Al: 0.751 0.751 0.000
Cd: 0.500 0.500 0.000


Starting from the GGA-PBE geometry in Alexandria, the X-ray powder pattern of SbPdAu was simulated for Cu Kα (λ = 1.5418 Å).
Intensities are scaled so that the largest is 100.

Top 12 peaks for 2θ from 10° to 80°, by intensity:
- 39.7 deg, intensity 100
- 35.0 deg, intensity 72
- 65.9 deg, intensity 45
- 50.3 deg, intensity 26
- 75.0 deg, intensity 15
- 26.6 deg, intensity 13
- 73.8 deg, intensity 8
- 64.0 deg, intensity 6
- 57.8 deg, intensity 4
- 55.2 deg, intensity 3
- 20.3 deg, intensity 3
- 40.8 deg, intensity 2

Structure:
Unit cell a=5.065 b=5.065 c=5.065 alpha=138.00 beta=138.00 gamma=60.90
Fractional positions:
Sb: 0.000 0.000 0.000
Pd: 0.653 0.653 0.000
Au: 0.321 0.321 0.000